1.
This entry pairs a crystal structure of Sn6I5Br7 with its computed powder diffractogram. Radiation: CuKα. Structure: a crystal structure in Alexandria, relaxed with PBE.
Lines closer than 0.1° are merged.

Crystal structure
```
18
Lattice="13.6556 0.0000 0.0000 0.0000 4.9897 5.3574 0.0000 -4.9897 5.3574" Properties=species:S:1:pos:R:3 pbc="T T T"
Sn 0.0000 0.0000 0.0000
Sn 2.1846 0.0000 5.5817
Sn 4.5417 0.0000 0.2263
Sn 6.8278 0.0000 5.6081
Sn 9.1140 0.0000 0.2263
Sn 11.4710 0.0000 5.5817
I 0.0000 0.0000 3.2892
I 4.4930 0.0000 3.4304
I 4.5270 0.0000 7.7802
I 9.1286 0.0000 7.7802
I 9.1626 0.0000 3.4304
Br 0.0000 0.0000 7.7232
Br 2.2599 -3.0082 5.5162
Br 2.2599 3.0082 5.5162
Br 6.8278 -3.0198 5.5920
Br 6.8278 3.0198 5.5920
Br 11.3958 -3.0082 5.5162
Br 11.3958 3.0082 5.5162
```

Peak list (12 most intense, 10° ≤ 2θ ≤ 80°, most intense first)
2θ/deg  I (rel.)
26.51  100
42.10  94
17.78  83
33.12  79
25.68  76
34.43  52
39.60  37
33.45  36
16.55  34
36.00  32
43.18  25
23.02  22



2.
This entry pairs a crystal structure of Ac2CuAg3 with its computed powder diffractogram. Radiation: CuKα. Structure: a crystal structure in Alexandria, relaxed with PBE.
Lines closer than 0.1° are merged.

Crystal structure
```
6
Lattice="4.1211 0.0000 0.0000 0.0000 4.7728 0.0000 0.0000 0.0000 8.1217" Properties=species:S:1:pos:R:3 pbc="T T T"
Ac 0.0000 0.0000 0.0000
Ac 0.0000 2.3864 3.9376
Cu 2.0606 0.0000 2.5903
Ag 2.0606 0.0000 5.2487
Ag 2.0606 2.3864 1.3716
Ag 2.0606 2.3864 6.7013
```

Peak list (12 most intense, 10° ≤ 2θ ≤ 80°, most intense first)
2θ/deg  I (rel.)
30.70  100
30.91  49
38.22  47
49.51  31
59.62  25
37.69  25
43.95  19
21.60  16
59.24  14
64.35  12
63.74  12
50.08  12